Record 1
Calculated powder diffractogram
Compound: CaCdPbCl6
Radiation: Cu Kα
Structure: a cell relaxed with GGA-PBE
Neutral-atom scattering factors, no anomalous dispersion.

Cell and atoms:
```
data_CaCdPbCl6
_chemical_formula_sum 'Ca2 Cd2 Pb2 Cl12'
_space_group_name_H-M_alt 'P -3 1 c'
_space_group_IT_number 163
_space_group_name_Hall '-P 3 2c'
_cell_length_a 6.9391
_cell_length_b 6.9391
_cell_length_c 12.6041
_cell_angle_alpha 90.00
_cell_angle_beta 90.00
_cell_angle_gamma 120.00
loop_
_atom_site_label
_atom_site_fract_x
_atom_site_fract_y
_atom_site_fract_z
Ca1 0.3333 0.6667 0.2500
Cd1 0.3333 0.6667 0.7500
Pb1 0.0000 0.0000 0.0000
Cl1 0.0095 0.3555 0.6306
```

The 10 most intense peaks (10° ≤ 2θ ≤ 90°), low angle first:
hkl 1 0 0, 6.009 Å, rel. 14
hkl 1 0 2, 4.349 Å, rel. 100
hkl 1 1 0, 3.470 Å, rel. 23
hkl 2 -1 2, 3.039 Å, rel. 20
hkl 2 0 2, 2.712 Å, rel. 30
hkl 1 1 4, 2.333 Å, rel. 53
hkl 2 1 2, 2.137 Å, rel. 31
hkl 3 0 0, 2.003 Å, rel. 24
hkl 4 -1 2, 1.611 Å, rel. 13
hkl 4 -2 4, 1.520 Å, rel. 13

Record 2
Calculated powder diffractogram
Compound: Cs6Au3S
Radiation: Cu Kα
Structure: a cell relaxed with GGA-PBE
Neutral-atom scattering factors, no anomalous dispersion.

Cell and atoms:
```
data_Cs6Au3S
_chemical_formula_sum 'Cs12 Au6 S2'
_space_group_name_H-M_alt 'P n n m'
_space_group_IT_number 58
_space_group_name_Hall '-P 2 2n'
_cell_length_a 10.4446
_cell_length_b 14.6475
_cell_length_c 6.1544
_cell_angle_alpha 90.00
_cell_angle_beta 90.00
_cell_angle_gamma 90.00
loop_
_atom_site_label
_atom_site_fract_x
_atom_site_fract_y
_atom_site_fract_z
Cs1 0.0115 0.2406 0.0000
Cs2 0.1518 0.0835 0.5000
Cs3 0.1801 0.4393 0.5000
Au1 0.0000 0.5000 0.0000
Au2 0.1427 0.7015 0.5000
S1 0.0000 0.0000 0.0000
```

The 10 most intense peaks (10° ≤ 2θ ≤ 90°), low angle first:
hkl 1 1 0, 8.504 Å, rel. 20
hkl 1 3 1, 3.592 Å, rel. 69
hkl 2 3 0, 3.567 Å, rel. 33
hkl 0 0 2, 3.078 Å, rel. 62
hkl 3 0 1, 3.030 Å, rel. 100
hkl 1 4 1, 3.013 Å, rel. 24
hkl 2 3 2, 2.332 Å, rel. 34
hkl 1 3 3, 1.860 Å, rel. 21
hkl 3 0 3, 1.767 Å, rel. 21
hkl 1 8 1, 1.730 Å, rel. 22

Record 3
Calculated powder diffractogram
Compound: Li3B4C4
Radiation: Cu Kα
Structure: a cell relaxed with GGA-PBE
Neutral-atom scattering factors, no anomalous dispersion.

Cell and atoms:
```
data_Li3B4C4
_chemical_formula_sum 'Li24 B32 C32'
_space_group_name_H-M_alt 'F d d 2'
_space_group_IT_number 43
_space_group_name_Hall 'F 2 -2d'
_cell_length_a 9.4343
_cell_length_b 14.3338
_cell_length_c 5.4517
_cell_angle_alpha 90.00
_cell_angle_beta 90.00
_cell_angle_gamma 90.00
loop_
_atom_site_label
_atom_site_fract_x
_atom_site_fract_y
_atom_site_fract_z
Li1 0.0000 0.0000 0.0000
Li2 0.0005 0.2502 0.0013
B1 0.0826 0.1212 0.2536
B2 0.0838 0.1251 0.7499
C1 0.0835 0.3749 0.7514
C2 0.0837 0.3702 0.2521
```

The 10 most intense peaks (10° ≤ 2θ ≤ 90°), low angle first:
hkl 1 1 1, 4.483 Å, rel. 2
hkl 0 4 0, 3.583 Å, rel. 100
hkl 4 0 0, 2.360 Å, rel. 8
hkl 2 2 2, 2.241 Å, rel. 2
hkl 2 4 2, 1.971 Å, rel. 36
hkl 4 4 0, 1.970 Å, rel. 18
hkl 0 8 0, 1.792 Å, rel. 17
hkl 6 0 2, 1.362 Å, rel. 18
hkl 6 4 2, 1.273 Å, rel. 9
hkl 4 4 4, 1.121 Å, rel. 7